Record 1
Calculated X-ray powder pattern of Li9Mn2Co5O16 for λ = 1.5418 Å (Cu Kα), from a cell relaxed with GGA+U.
No peak broadening, texture or thermal motion is included.

Peak list (6 most intense, 2θ = 15–90°, low angle first)
two_theta, d/Å, I_rel, index
18.40, 4.821, 100, 0 1 1
35.97, 2.497, 14, 0 2 -2
43.43, 2.084, 28, 0 3 -1
43.77, 2.068, 27, 2 1 3
44.19, 2.050, 26, 2 0 -2
63.57, 1.464, 15, 2 -2 4

Cell lengths 5.792, 6.598, 7.736 Å; angles 89.50, 78.65, 77.41 degrees
Positions (direct):
Li 0.000 0.000 0.000
Li 0.000 0.492 0.501
Li 0.120 0.365 0.131
Li 0.239 0.249 0.766
Li 0.239 0.744 0.254
Li 0.481 0.005 0.005
Li 0.490 0.488 0.507
Li 0.740 0.247 0.762
Li 0.747 0.739 0.254
Mn 0.614 0.368 0.133
Mn 0.873 0.124 0.377
Co 0.117 0.868 0.632
Co 0.362 0.612 0.887
Co 0.365 0.124 0.379
Co 0.611 0.874 0.635
Co 0.874 0.610 0.885
O 0.058 0.178 0.547
O 0.058 0.684 0.050
O 0.173 0.061 0.215
O 0.179 0.567 0.695
O 0.313 0.927 0.810
O 0.324 0.411 0.311
O 0.416 0.835 0.452
O 0.441 0.316 0.954
O 0.560 0.656 0.075
O 0.563 0.173 0.550
O 0.673 0.076 0.207
O 0.673 0.573 0.707
O 0.799 0.409 0.313
O 0.816 0.924 0.804
O 0.910 0.316 0.953
O 0.917 0.830 0.446


Record 2
Calculated X-ray powder pattern of NiPC5O2 for λ = 1.5418 Å (Cu Kα), from a cell relaxed with GGA+U.
No peak broadening, texture or thermal motion is included.

Peak list (6 most intense, 2θ = 15–90°, low angle first)
two_theta, d/Å, I_rel, index
16.06, 5.520, 29, 1 1 0
16.83, 5.268, 29, 0 2 1
17.44, 5.085, 41, 1 1 -2
20.45, 4.343, 100, 1 2 0
22.38, 3.973, 57, 0 2 2
26.23, 3.397, 47, 1 3 0

Cell lengths 7.130, 12.191, 12.065 Å; angles 90.00, 119.74, 90.00 degrees
Positions (direct):
Ni 0.183 0.052 0.238
Ni 0.183 0.448 0.738
Ni 0.817 0.552 0.262
Ni 0.817 0.948 0.762
P 0.405 0.237 0.949
P 0.405 0.263 0.449
P 0.595 0.737 0.551
P 0.595 0.763 0.051
C 0.075 0.040 0.991
C 0.075 0.460 0.491
C 0.275 0.736 0.960
C 0.275 0.764 0.460
C 0.295 0.139 0.369
C 0.295 0.361 0.869
C 0.349 0.747 0.585
C 0.349 0.753 0.085
C 0.491 0.668 0.658
C 0.491 0.832 0.158
C 0.509 0.168 0.842
C 0.509 0.332 0.342
C 0.651 0.247 0.915
C 0.651 0.253 0.415
C 0.705 0.639 0.131
C 0.705 0.861 0.631
C 0.725 0.236 0.540
C 0.725 0.264 0.040
C 0.925 0.540 0.509
C 0.925 0.960 0.009
O 0.049 0.049 0.879
O 0.049 0.451 0.379
O 0.212 0.091 0.089
O 0.212 0.409 0.589
O 0.788 0.591 0.411
O 0.788 0.909 0.911
O 0.951 0.549 0.621
O 0.951 0.951 0.121


Record 3
Calculated X-ray powder pattern of MgV2Bi4O11 for λ = 1.5418 Å (Cu Kα), from a cell relaxed with GGA+U.
No peak broadening, texture or thermal motion is included.

Peak list (6 most intense, 2θ = 15–90°, low angle first)
two_theta, d/Å, I_rel, index
24.17, 3.682, 100, 1 -1 1
27.15, 3.284, 99, 1 1 -2
28.25, 3.159, 80, 1 1 1
29.51, 3.027, 75, -1 1 2
31.02, 2.883, 77, 2 0 -1
31.96, 2.801, 91, 1 -1 2

Cell lengths 5.811, 6.189, 8.173 Å; angles 98.57, 104.15, 93.63 degrees
Positions (direct):
Mg 0.000 0.000 0.000
V 0.262 0.665 0.794
V 0.722 0.263 0.776
Bi 0.001 0.559 0.210
Bi 0.101 0.102 0.512
Bi 0.524 0.146 0.264
Bi 0.645 0.658 0.532
O 0.150 0.002 0.256
O 0.261 0.773 0.602
O 0.299 0.882 0.962
O 0.367 0.486 0.281
O 0.509 0.519 0.826
O 0.519 0.221 0.539
O 0.765 0.871 0.370
O 0.834 0.264 0.027
O 0.844 0.985 0.749
O 0.880 0.402 0.399
O 0.995 0.497 0.774


Record 4
Calculated X-ray powder pattern of LiNbCo3P6O24 for λ = 1.5418 Å (Cu Kα), from a cell relaxed with GGA+U.
No peak broadening, texture or thermal motion is included.

Peak list (6 most intense, 2θ = 15–90°, low angle first)
two_theta, d/Å, I_rel, index
20.35, 4.364, 100, -1 1 1
20.52, 4.329, 69, 2 -1 0
23.88, 3.726, 62, 0 1 1
24.08, 3.696, 44, 1 -2 2
28.92, 3.087, 46, 0 2 0
35.59, 2.523, 32, 2 1 0

Cell lengths 8.656, 8.661, 8.720 Å; angles 119.75, 90.47, 119.39 degrees
Positions (direct):
Li 0.000 0.000 0.000
Nb 0.377 0.277 0.636
Co 0.154 0.718 0.858
Co 0.648 0.722 0.361
Co 0.869 0.292 0.143
P 0.043 0.781 0.237
P 0.260 0.506 0.460
P 0.468 0.213 0.973
P 0.553 0.796 0.042
P 0.775 0.515 0.541
P 0.970 0.215 0.751
O 0.027 0.581 0.201
O 0.053 0.801 0.071
O 0.093 0.326 0.274
O 0.135 0.205 0.690
O 0.215 0.640 0.623
O 0.232 0.982 0.402
O 0.285 0.029 0.956
O 0.324 0.391 0.507
O 0.387 0.810 0.013
O 0.417 0.664 0.427
O 0.437 0.185 0.781
O 0.500 0.424 0.130
O 0.508 0.574 0.877
O 0.585 0.822 0.230
O 0.612 0.358 0.576
O 0.640 0.205 0.999
O 0.711 0.633 0.499
O 0.738 0.972 0.050
O 0.779 0.024 0.594
O 0.814 0.375 0.378
O 0.880 0.792 0.295
O 0.940 0.690 0.726
O 0.964 0.194 0.917
O 0.995 0.422 0.795


Record 5
Calculated X-ray powder pattern of Y6MgMn6O18 for λ = 1.5418 Å (Cu Kα), from a cell relaxed with GGA+U.
No peak broadening, texture or thermal motion is included.

Peak list (6 most intense, 2θ = 15–90°, low angle first)
two_theta, d/Å, I_rel, index
28.60, 3.121, 58, 1 2 0
29.53, 3.025, 91, 1 2 -1
30.03, 2.976, 100, 0 0 4
32.29, 2.773, 83, 2 1 2
32.36, 2.766, 92, -1 1 2
50.79, 1.797, 47, 3 3 0

Cell lengths 6.234, 6.251, 11.904 Å; angles 89.97, 89.24, 60.50 degrees
Positions (direct):
Y 0.000 0.000 0.000
Y 0.000 0.008 0.513
Y 0.331 0.346 0.044
Y 0.345 0.325 0.562
Y 0.662 0.670 0.043
Y 0.688 0.661 0.558
Mg 0.362 0.618 0.357
Mn 0.007 0.331 0.782
Mn 0.339 0.673 0.780
Mn 0.348 0.028 0.277
Mn 0.671 0.000 0.782
Mn 0.743 0.257 0.263
Mn 0.953 0.657 0.277
O 0.005 0.999 0.804
O 0.007 0.359 0.939
O 0.009 0.303 0.620
O 0.041 0.627 0.453
O 0.059 0.950 0.314
O 0.306 0.020 0.116
O 0.318 0.697 0.619
O 0.341 0.333 0.760
O 0.344 0.347 0.260
O 0.360 0.649 0.940
O 0.383 0.983 0.443
O 0.617 0.663 0.259
O 0.638 0.002 0.939
O 0.643 0.364 0.449
O 0.677 0.663 0.759
O 0.699 0.305 0.098
O 0.703 0.997 0.619
O 0.987 0.696 0.107


Record 6
Calculated X-ray powder pattern of MgFe6O10F2 for λ = 1.5418 Å (Cu Kα), from a cell relaxed with GGA+U.
No peak broadening, texture or thermal motion is included.

Peak list (6 most intense, 2θ = 15–90°, low angle first)
two_theta, d/Å, I_rel, index
23.76, 3.744, 70, 1 0 -3
27.84, 3.205, 100, 1 0 3
28.52, 3.130, 45, 1 0 -4
34.89, 2.572, 52, 1 1 0
35.56, 2.525, 73, 0 1 3
54.89, 1.673, 31, 1 1 6

Cell lengths 5.109, 2.991, 14.300 Å; angles 90.00, 98.90, 90.00 degrees
Positions (direct):
Mg 0.000 0.000 0.000
Fe 0.020 0.500 0.212
Fe 0.066 0.500 0.530
Fe 0.195 0.500 0.815
Fe 0.498 0.000 0.046
Fe 0.584 0.000 0.351
Fe 0.631 0.000 0.676
O 0.243 0.000 0.259
O 0.277 0.000 0.588
O 0.277 0.500 0.073
O 0.280 0.000 0.915
O 0.483 0.500 0.745
O 0.742 0.500 0.291
O 0.777 0.500 0.611
O 0.837 0.000 0.121
O 0.909 0.000 0.455
O 0.964 0.000 0.768
F 0.422 0.500 0.422
F 0.755 0.500 0.960